1.
Diffraction record for NaNp2F9. The powder X-ray diffraction pattern is simulated, not measured: it uses the PBE geometry in the Materials Project and Cu Kα.
Kinematic intensities with the Lorentz-polarization factor, no thermal factor.

Largest 10 diffraction maxima, sorted by position, 2θ = 15–90°:
2θ/deg	I (rel.)
15.96	100
20.45	23
24.16	53
27.29	37
27.63	45
29.09	41
32.07	39
43.65	30
47.44	26
47.69	25

Cell and atoms:
```
NaNp2F9
1.0
8.6853 0.0000 0.0000
0.0000 11.1049 0.0000
0.0000 0.0000 6.9544
Na Np F
4 8 36
Direct
0.0354 0.2500 0.1504
0.4646 0.7500 0.6504
0.5354 0.2500 0.3496
0.9646 0.7500 0.8496
0.1718 0.0481 0.6610
0.1718 0.4519 0.6610
0.3282 0.5481 0.1610
0.3282 0.9519 0.1610
0.6718 0.0481 0.8390
0.6718 0.4519 0.8390
0.8282 0.5481 0.3390
0.8282 0.9519 0.3390
0.0013 0.6046 0.5799
0.0013 0.8954 0.5799
0.0684 0.5809 0.1988
0.0684 0.9191 0.1988
0.1720 0.2500 0.6612
0.2017 0.1032 0.9791
0.2017 0.3968 0.9791
0.2085 0.6120 0.8583
0.2085 0.8880 0.8583
0.2915 0.1120 0.3583
0.2915 0.3880 0.3583
0.2983 0.6032 0.4791
0.2983 0.8968 0.4791
0.3280 0.7500 0.1612
0.4316 0.0809 0.6988
0.4316 0.4191 0.6988
0.4987 0.1046 0.0799
0.4987 0.3954 0.0799
0.5013 0.6046 0.9201
0.5013 0.8954 0.9201
0.5684 0.5809 0.3012
0.5684 0.9191 0.3012
0.6720 0.2500 0.8388
0.7017 0.1032 0.5209
0.7017 0.3968 0.5209
0.7085 0.6120 0.6417
0.7085 0.8880 0.6417
0.7915 0.1120 0.1417
0.7915 0.3880 0.1417
0.7983 0.6032 0.0209
0.7983 0.8968 0.0209
0.8280 0.7500 0.3388
0.9316 0.0809 0.8012
0.9316 0.4191 0.8012
0.9987 0.1046 0.4201
0.9987 0.3954 0.4201
```

2.
Diffraction record for Na2PO3F. The powder X-ray diffraction pattern is simulated, not measured: it uses the PBE geometry in the Materials Project and Cu Kα.
Kinematic intensities with the Lorentz-polarization factor, no thermal factor.

Largest 10 diffraction maxima, sorted by position, 2θ = 15–90°:
2θ/deg	I (rel.)
22.48	100
25.36	36
31.57	80
32.32	100
32.53	85
33.33	18
38.76	22
43.02	17
45.74	16
45.95	31

Cell and atoms:
```
Na2PO3F
1.0
5.5048 0.0000 0.0000
0.0000 7.0251 0.0000
0.0000 0.0000 19.2315
Na P O F
16 8 24 8
Direct
0.2158 0.0613 0.3086
0.2382 0.7792 0.1340
0.2424 0.4202 0.4607
0.2467 0.2890 0.1220
0.2533 0.7110 0.6220
0.2576 0.5798 0.9607
0.2618 0.2208 0.6340
0.2842 0.9387 0.8086
0.7158 0.4387 0.6914
0.7382 0.7208 0.8660
0.7424 0.0798 0.5393
0.7467 0.2110 0.8780
0.7533 0.7890 0.3780
0.7576 0.9202 0.0393
0.7618 0.2792 0.3660
0.7842 0.5613 0.1914
0.1985 0.4734 0.7883
0.2401 0.0203 0.9688
0.2599 0.9797 0.4688
0.3015 0.5266 0.2883
0.6985 0.0266 0.2117
0.7401 0.4797 0.0312
0.7599 0.5203 0.5312
0.8015 0.9734 0.7117
0.0153 0.0343 0.4376
0.0229 0.9389 0.9295
0.0743 0.9479 0.7017
0.1858 0.3813 0.3368
0.2173 0.5216 0.2129
0.2223 0.0043 0.0475
0.2777 0.9957 0.5475
0.2827 0.4784 0.7129
0.3142 0.6187 0.8368
0.4257 0.0521 0.2017
0.4771 0.0611 0.4295
0.4847 0.9657 0.9376
0.5153 0.4657 0.5624
0.5229 0.5611 0.0705
0.5743 0.5521 0.2983
0.6858 0.1187 0.6632
0.7173 0.9784 0.7871
0.7223 0.4957 0.9525
0.7777 0.5043 0.4525
0.7827 0.0216 0.2871
0.8142 0.8813 0.1632
0.9257 0.4479 0.7983
0.9771 0.4389 0.5705
0.9847 0.5343 0.0624
0.1838 0.7305 0.3160
0.2176 0.2507 0.9554
0.2824 0.7493 0.4554
0.3162 0.2695 0.8160
0.6838 0.7695 0.6840
0.7176 0.2493 0.0446
0.7824 0.7507 0.5446
0.8162 0.2305 0.1840
```

3.
Diffraction record for NaPOF6. The powder X-ray diffraction pattern is simulated, not measured: it uses the PBE geometry in the Materials Project and Cu Kα.
Kinematic intensities with the Lorentz-polarization factor, no thermal factor.

Largest 10 diffraction maxima, sorted by position, 2θ = 15–90°:
2θ/deg	I (rel.)
16.88	31
17.12	22
17.99	100
20.20	32
24.76	63
26.43	55
30.01	14
34.10	17
46.08	13
54.42	33

Cell and atoms:
```
NaPOF6
1.0
-4.3971 5.2538 2.9774
4.3971 -5.2538 2.9774
4.3971 5.2538 -2.9774
Na P O F
2 2 2 12
Direct
0.5000 0.0000 0.0000
0.5000 0.5000 0.5000
0.0000 0.0000 0.0000
0.5000 0.0000 0.5000
0.2748 0.5248 0.7500
0.7252 0.4752 0.2500
0.1208 0.1433 0.2429
0.1208 0.8779 0.9775
0.2202 0.7282 0.4921
0.2639 0.2718 0.9921
0.4004 0.1433 0.5225
0.4004 0.8779 0.2571
0.5996 0.1221 0.7429
0.5996 0.8567 0.4775
0.7361 0.7282 0.0079
0.7798 0.2718 0.5079
0.8792 0.1221 0.0225
0.8792 0.8567 0.7571
```

4.
Diffraction record for NaYPO4F. The powder X-ray diffraction pattern is simulated, not measured: it uses the PBE geometry in the Materials Project and Cu Kα.
Kinematic intensities with the Lorentz-polarization factor, no thermal factor.

Largest 10 diffraction maxima, sorted by position, 2θ = 15–90°:
2θ/deg	I (rel.)
20.46	57
25.41	100
28.01	82
30.23	84
32.86	73
38.20	43
41.57	52
47.92	38
49.16	31
51.53	34

Cell and atoms:
```
NaYPO4F
1.0
4.5154 -3.5049 0.0000
4.5154 3.5049 0.0000
-1.8044 0.0000 6.2926
Na Y P O F
2 2 2 8 2
Direct
0.2069 0.7931 0.0000
0.7931 0.2069 0.0000
0.2177 0.2177 0.6172
0.7823 0.7823 0.3828
0.3456 0.3456 0.2235
0.6544 0.6544 0.7765
0.1294 0.4798 0.3448
0.2429 0.2429 0.9919
0.4798 0.1294 0.3448
0.4828 0.4828 0.7720
0.5172 0.5172 0.2280
0.5202 0.8706 0.6552
0.7571 0.7571 0.0081
0.8706 0.5202 0.6552
0.0180 0.0180 0.3102
0.9820 0.9820 0.6898
```